[1]
This entry pairs a crystal structure of Pr7Sm12Cd with its calculated powder X-ray diffraction pattern. Radiation: a wavelength of 1.5418 Å. Structure: the GGA-PBE geometry in Alexandria.
Intensities are scaled so that the largest is 100.

Largest 6 diffraction maxima, sorted by position, 10° ≤ 2θ ≤ 90°:
2θ = 29.17°, d 3.062, I = 39
2θ = 30.32°, d 2.948, I = 54
2θ = 30.88°, d 2.896, I = 100
2θ = 31.60°, d 2.831, I = 54
2θ = 32.41°, d 2.763, I = 57
2θ = 32.70°, d 2.738, I = 28

Cell and atoms:
a = 8.858 Å, b = 8.858 Å, c = 8.858 Å
α = 87.56°, β = 87.56°, γ = 87.56°
Sites, in units of the cell vectors:
Pr1 0.000 0.000 0.000
Pr2 0.108 0.421 0.352
Pr3 0.352 0.108 0.421
Pr4 0.421 0.352 0.108
Pr5 0.579 0.648 0.892
Pr6 0.648 0.892 0.579
Pr7 0.892 0.579 0.648
Sm1 0.001 0.112 0.640
Sm2 0.112 0.640 0.001
Sm3 0.242 0.367 0.747
Sm4 0.253 0.758 0.633
Sm5 0.360 0.999 0.888
Sm6 0.367 0.747 0.242
Sm7 0.633 0.253 0.758
Sm8 0.640 0.001 0.112
Sm9 0.747 0.242 0.367
Sm10 0.758 0.633 0.253
Sm11 0.888 0.360 0.999
Sm12 0.999 0.888 0.360
Cd1 0.500 0.500 0.500

=====

[2]
This entry pairs a crystal structure of BaLi2SmAs2 with its calculated powder X-ray diffraction pattern. Radiation: a wavelength of 1.5418 Å. Structure: the GGA-PBE geometry in Alexandria.
Intensities are scaled so that the largest is 100.

Largest 6 diffraction maxima, sorted by position, 10° ≤ 2θ ≤ 90°:
2θ = 23.35°, d 3.809, I = 32
2θ = 25.60°, d 3.480, I = 19
2θ = 31.44°, d 2.845, I = 100
2θ = 41.04°, d 2.199, I = 37
2θ = 52.59°, d 1.740, I = 24
2θ = 68.80°, d 1.365, I = 21

Cell and atoms:
a = 4.399 Å, b = 4.399 Å, c = 8.557 Å
α = 90.00°, β = 90.00°, γ = 120.00°
Sites, in units of the cell vectors:
Ba1 0.000 0.000 0.000
Li1 0.333 0.667 0.725
Li2 0.667 0.333 0.275
Sm1 0.000 0.000 0.500
As1 0.333 0.667 0.290
As2 0.667 0.333 0.710